For CdHg2Te4, a DFT-relaxed cell (PBE, the Materials Project) gives the theoretical powder XRD pattern in this record (Cu Kα, 1.54184 Å).

Main lines, low angle first (2θ from 10° to 80°):
hkl 1 0 1, 2θ 21.88, intensity 16; hkl 0 0 3, 2θ 22.66, intensity 18; hkl 0 0 4, 2θ 30.38, intensity 16; hkl 1 0 3, 2θ 30.76, intensity 24; hkl 1 1 2, 2θ 32.99, intensity 100; hkl 2 0 0, 2θ 41.74, intensity 34; hkl 1 0 5, 2θ 43.78, intensity 20; hkl 2 0 4, 2θ 52.49, intensity 14; hkl 2 1 5, 2θ 62.08, intensity 14; hkl 3 1 2, 2θ 70.67, intensity 22

Structure:
abc: 4.328 4.328 11.770
angles: 90.00 90.00 90.00
Space group P-4m2 (No. 115)
Asymmetric unit:
Cd 0.000 0.000 0.000 (multiplicity 1)
Hg 0.000 0.500 0.762 (multiplicity 2)
Te 0.000 0.000 0.500 (multiplicity 1)
Te 0.000 0.500 0.169 (multiplicity 2)
Te 0.500 0.500 0.500 (multiplicity 1)

---

For CdHg4Te5, a DFT-relaxed cell (PBE, the Materials Project) gives the theoretical powder XRD pattern in this record (Cu Kα, 1.54184 Å).

Main lines, low angle first (2θ from 10° to 80°):
hkl 1 0 5, 2θ 28.90, intensity 100; hkl 0 2 0, 2θ 29.33, intensity 48; hkl 0 0 10, 2θ 41.06, intensity 19; hkl 2 0 0, 2θ 41.63, intensity 94; hkl 0 2 10, 2θ 51.25, intensity 20; hkl 2 2 0, 2θ 51.70, intensity 20; hkl 2 2 10, 2θ 68.05, intensity 17; hkl 1 4 5, 2θ 68.72, intensity 17; hkl 1 2 15, 2θ 75.20, intensity 13; hkl 3 2 5, 2θ 75.93, intensity 13

Structure:
abc: 4.343 6.091 21.984
angles: 90.00 90.00 90.00
Space group Immm (No. 71)
Asymmetric unit:
Cd 0.000 0.000 0.000 (multiplicity 2)
Hg 0.000 0.000 0.201 (multiplicity 4)
Hg 0.000 0.000 0.400 (multiplicity 4)
Te 0.000 0.500 0.000 (multiplicity 2)
Te 0.000 0.500 0.199 (multiplicity 4)
Te 0.000 0.500 0.402 (multiplicity 4)

---

For ThCdHg2, a DFT-relaxed cell (PBE, the Materials Project) gives the theoretical powder XRD pattern in this record (Cu Kα, 1.54184 Å).

Main lines, low angle first (2θ from 10° to 80°):
hkl 1 1 1, 2θ 20.83, intensity 5; hkl 2 0 0, 2θ 24.10, intensity 1; hkl 2 2 0, 2θ 34.34, intensity 100; hkl 3 1 1, 2θ 40.51, intensity 3; hkl 4 0 0, 2θ 49.36, intensity 18; hkl 3 3 1, 2θ 54.13, intensity 1; hkl 4 2 2, 2θ 61.51, intensity 38; hkl 5 1 1, 2θ 65.69, intensity 1; hkl 4 4 0, 2θ 72.38, intensity 12; hkl 5 3 1, 2θ 76.27, intensity 1

Structure:
abc: 7.385 7.385 7.385
angles: 90.00 90.00 90.00
Space group Fm-3m (No. 225)
Asymmetric unit:
Th 0.000 0.000 0.000 (multiplicity 4)
Cd 0.000 0.000 0.500 (multiplicity 4)
Hg 0.250 0.250 0.250 (multiplicity 8)

---

For TiCdHg2, a DFT-relaxed cell (PBE, the Materials Project) gives the theoretical powder XRD pattern in this record (Cu Kα, 1.54184 Å).

Main lines, low angle first (2θ from 10° to 80°):
hkl 0 0 1, 2θ 21.43, intensity 15; hkl 1 1 0, 2θ 28.24, intensity 16; hkl 1 1 1, 2θ 35.72, intensity 100; hkl 2 0 0, 2θ 40.37, intensity 36; hkl 0 0 2, 2θ 43.65, intensity 14; hkl 2 2 0, 2θ 58.42, intensity 12; hkl 2 0 2, 2θ 60.96, intensity 21; hkl 3 1 1, 2θ 70.39, intensity 27; hkl 1 1 3, 2θ 74.99, intensity 12; hkl 2 2 2, 2θ 75.68, intensity 11

Structure:
abc: 4.468 4.468 4.147
angles: 90.00 90.00 90.00
Space group P4/mmm (No. 123)
Asymmetric unit:
Ti 0.000 0.000 0.000 (multiplicity 1)
Cd 0.500 0.500 0.000 (multiplicity 1)
Hg 0.000 0.500 0.500 (multiplicity 2)

---

For Tm2CdHg, a DFT-relaxed cell (PBE, the Materials Project) gives the theoretical powder XRD pattern in this record (Cu Kα, 1.54184 Å).

Main lines, low angle first (2θ from 10° to 80°):
hkl 1 1 1, 2θ 20.84, intensity 4; hkl 2 2 0, 2θ 34.35, intensity 100; hkl 3 1 1, 2θ 40.52, intensity 2; hkl 4 0 0, 2θ 49.37, intensity 18; hkl 3 3 1, 2θ 54.14, intensity 1; hkl 4 2 2, 2θ 61.52, intensity 37; hkl 5 1 1, 2θ 65.70, intensity 1; hkl 4 4 0, 2θ 72.39, intensity 12; hkl 5 3 1, 2θ 76.29, intensity 1

Structure:
abc: 7.384 7.384 7.384
angles: 90.00 90.00 90.00
Space group Fm-3m (No. 225)
Asymmetric unit:
Tm 0.250 0.250 0.250 (multiplicity 8)
Cd 0.000 0.000 0.000 (multiplicity 4)
Hg 0.000 0.000 0.500 (multiplicity 4)

---

For TmCdHg2, a DFT-relaxed cell (PBE, the Materials Project) gives the theoretical powder XRD pattern in this record (Cu Kα, 1.54184 Å).

Main lines, low angle first (2θ from 10° to 80°):
hkl 1 1 1, 2θ 21.38, intensity 1; hkl 2 0 0, 2θ 24.74, intensity 3; hkl 2 2 0, 2θ 35.27, intensity 100; hkl 3 1 1, 2θ 41.61, intensity 1; hkl 2 2 2, 2θ 43.56, intensity 1; hkl 4 0 0, 2θ 50.73, intensity 18; hkl 4 2 0, 2θ 57.24, intensity 2; hkl 4 2 2, 2θ 63.30, intensity 37; hkl 4 4 0, 2θ 74.58, intensity 12; hkl 6 0 0, 2θ 79.98, intensity 1

Structure:
abc: 7.198 7.198 7.198
angles: 90.00 90.00 90.00
Space group Fm-3m (No. 225)
Asymmetric unit:
Tm 0.000 0.000 0.000 (multiplicity 4)
Cd 0.000 0.000 0.500 (multiplicity 4)
Hg 0.250 0.250 0.250 (multiplicity 8)

---

For Y2CdHg, a DFT-relaxed cell (PBE, the Materials Project) gives the theoretical powder XRD pattern in this record (Cu Kα, 1.54184 Å).

Main lines, low angle first (2θ from 10° to 80°):
hkl 1 1 1, 2θ 20.54, intensity 6; hkl 2 0 0, 2θ 23.76, intensity 8; hkl 2 2 0, 2θ 33.85, intensity 100; hkl 3 1 1, 2θ 39.92, intensity 4; hkl 2 2 2, 2θ 41.78, intensity 3; hkl 4 0 0, 2θ 48.63, intensity 18; hkl 4 2 0, 2θ 54.82, intensity 4; hkl 4 2 2, 2θ 60.56, intensity 37; hkl 4 4 0, 2θ 71.22, intensity 11; hkl 6 0 0, 2θ 76.28, intensity 2

Structure:
abc: 7.490 7.490 7.490
angles: 90.00 90.00 90.00
Space group Fm-3m (No. 225)
Asymmetric unit:
Y 0.250 0.250 0.250 (multiplicity 8)
Cd 0.000 0.000 0.000 (multiplicity 4)
Hg 0.000 0.000 0.500 (multiplicity 4)

---

For HoCd3, a DFT-relaxed cell (PBE, the Materials Project) gives the theoretical powder XRD pattern in this record (Cu Kα, 1.54184 Å).

Main lines, low angle first (2θ from 10° to 80°):
hkl 2 2 0, 2θ 29.80, intensity 10; hkl 0 4 0, 2θ 32.97, intensity 19; hkl 1 3 1, 2θ 33.22, intensity 16; hkl 2 2 1, 2θ 35.12, intensity 100; hkl 0 0 2, 2θ 36.83, intensity 28; hkl 0 4 1, 2θ 37.90, intensity 18; hkl 0 4 2, 2θ 50.25, intensity 12; hkl 4 0 0, 2θ 50.79, intensity 8; hkl 4 0 2, 2θ 64.33, intensity 12; hkl 2 2 3, 2θ 65.25, intensity 16

Structure:
abc: 7.191 10.868 4.881
angles: 90.00 90.00 90.00
Space group Cmcm (No. 63)
Asymmetric unit:
Ho 0.000 0.133 0.250 (multiplicity 4)
Cd 0.000 0.323 0.750 (multiplicity 4)
Cd 0.215 0.404 0.250 (multiplicity 8)

---

What did the third record say?
For ThCdHg2, a DFT-relaxed cell (PBE, the Materials Project) gives the theoretical powder XRD pattern in this record (Cu Kα, 1.54184 Å).

Main lines, low angle first (2θ from 10° to 80°):
hkl 1 1 1, 2θ 20.83, intensity 5; hkl 2 0 0, 2θ 24.10, intensity 1; hkl 2 2 0, 2θ 34.34, intensity 100; hkl 3 1 1, 2θ 40.51, intensity 3; hkl 4 0 0, 2θ 49.36, intensity 18; hkl 3 3 1, 2θ 54.13, intensity 1; hkl 4 2 2, 2θ 61.51, intensity 38; hkl 5 1 1, 2θ 65.69, intensity 1; hkl 4 4 0, 2θ 72.38, intensity 12; hkl 5 3 1, 2θ 76.27, intensity 1

Structure:
abc: 7.385 7.385 7.385
angles: 90.00 90.00 90.00
Space group Fm-3m (No. 225)
Asymmetric unit:
Th 0.000 0.000 0.000 (multiplicity 4)
Cd 0.000 0.000 0.500 (multiplicity 4)
Hg 0.250 0.250 0.250 (multiplicity 8)